# 1
Diffraction record for NdH3Se3O12. The X-ray diffraction stick pattern is computed, not measured: it uses a structure optimized by DFT (PBE) and Cu Kα (λ = 1.5418 Å).

a b c (Å): 9.874 9.874 6.244
angles (deg): 90.00 90.00 120.00
Sites, in units of the cell vectors:
Nd1 0.333 0.667 0.250
Nd2 0.667 0.333 0.750
H1 0.070 0.174 0.750
H2 0.104 0.930 0.750
H3 0.174 0.104 0.250
H4 0.826 0.896 0.750
H5 0.896 0.070 0.250
H6 0.930 0.826 0.250
Se1 0.104 0.699 0.750
Se2 0.301 0.405 0.750
Se3 0.405 0.104 0.250
Se4 0.595 0.896 0.750
Se5 0.699 0.595 0.250
Se6 0.896 0.301 0.250
O1 0.017 0.822 0.750
O2 0.044 0.480 0.250
O3 0.178 0.195 0.750
O4 0.195 0.017 0.250
O5 0.213 0.752 0.532
O6 0.213 0.752 0.968
O7 0.248 0.460 0.532
O8 0.248 0.460 0.968
O9 0.437 0.956 0.250
O10 0.460 0.213 0.032
O11 0.460 0.213 0.468
O12 0.480 0.437 0.750
O13 0.520 0.563 0.250
O14 0.540 0.787 0.532
O15 0.540 0.787 0.968
O16 0.563 0.044 0.750
O17 0.752 0.540 0.032
O18 0.752 0.540 0.468
O19 0.787 0.248 0.032
O20 0.787 0.248 0.468
O21 0.805 0.983 0.750
O22 0.822 0.805 0.250
O23 0.956 0.520 0.750
O24 0.983 0.178 0.250

Peak list (10 most intense, 2θ = 10–90°, in order of rising 2θ)
- 2θ = 10.35°, rel. 73
- 2θ = 22.97°, rel. 76
- 2θ = 25.25°, rel. 100
- 2θ = 27.60°, rel. 34
- 2θ = 28.59°, rel. 32
- 2θ = 31.16°, rel. 50
- 2θ = 40.16°, rel. 22
- 2θ = 48.65°, rel. 46
- 2θ = 48.81°, rel. 19
- 2θ = 57.54°, rel. 21

=====

# 2
Diffraction record for NiH3. The X-ray diffraction stick pattern is computed, not measured: it uses a structure optimized by DFT (PBE) and Cu Kα (λ = 1.5418 Å).

a b c (Å): 5.108 5.108 2.340
angles (deg): 90.00 90.00 120.00
Sites, in units of the cell vectors:
Ni1 0.333 0.667 0.250
Ni2 0.667 0.333 0.750
H1 0.210 0.419 0.750
H2 0.210 0.790 0.750
H3 0.419 0.210 0.250
H4 0.581 0.790 0.750
H5 0.790 0.210 0.250
H6 0.790 0.581 0.250

Peak list (10 most intense, 2θ = 10–90°, in order of rising 2θ)
- 2θ = 20.07°, rel. 100
- 2θ = 35.14°, rel. 89
- 2θ = 40.80°, rel. 16
- 2θ = 43.76°, rel. 67
- 2θ = 54.91°, rel. 11
- 2θ = 57.31°, rel. 32
- 2θ = 63.04°, rel. 14
- 2θ = 69.03°, rel. 33
- 2θ = 74.27°, rel. 9
- 2θ = 77.85°, rel. 4

=====

# 3
Diffraction record for Ni2H. The X-ray diffraction stick pattern is computed, not measured: it uses a structure optimized by DFT (PBE) and Cu Kα (λ = 1.5418 Å).

a b c (Å): 4.434 4.434 4.434
angles (deg): 33.44 33.44 33.44
Sites, in units of the cell vectors:
Ni1 0.247 0.247 0.247
Ni2 0.753 0.753 0.753
H1 0.000 0.000 0.000

Peak list (6 most intense, 2θ = 10–90°, in order of rising 2θ)
- 2θ = 43.27°, rel. 33
- 2θ = 43.42°, rel. 100
- 2θ = 50.53°, rel. 64
- 2θ = 74.15°, rel. 18
- 2θ = 74.36°, rel. 18
- 2θ = 89.92°, rel. 11